Starting from the GGA-PBE geometry in Alexandria, the powder diffraction line list of PmDy2Cu2Si2 was calculated for copper Kα.
No peak broadening, texture or thermal motion is included.

Structure:
```
PmDy2Cu2Si2
1.0
2.1085 1.2173 9.5304
-2.1085 1.2173 9.5304
0.0000 -2.4347 9.5304
Pm Dy Cu Si
1 2 2 2
Cartesian
0.0000 0.0000 0.0000
0.0000 0.0000 3.6198
0.0000 0.0000 24.9715
0.0000 0.0000 11.5005
0.0000 0.0000 17.0908
0.0000 0.0000 7.4986
0.0000 0.0000 21.0927
```

Largest 8 diffraction maxima, low angle first, 10° ≤ 2θ ≤ 90°:
2θ = 24.57°, I 55; 2θ = 27.43°, I 33; 2θ = 32.90°, I 92; 2θ = 35.13°, I 100; 2θ = 42.89°, I 86; 2θ = 56.60°, I 25; 2θ = 66.08°, I 37; 2θ = 73.55°, I 23



Starting from the GGA-PBE geometry in Alexandria, the powder diffraction line list of Bi4Pt was calculated for copper Kα.
No peak broadening, texture or thermal motion is included.

Structure:
```
Bi4Pt
1.0
3.2704 -6.6709 0.0000
3.2704 6.6709 0.0000
-0.8546 0.0000 7.2238
Bi Pt
8 2
Cartesian
0.8788 3.1300 5.6953
1.1458 0.6507 3.0206
0.7185 -0.6507 6.6326
1.3062 -3.1300 2.0834
4.3801 3.1300 5.1404
4.9677 0.6507 0.5913
4.5404 -0.6507 4.2032
4.8074 -3.1300 1.5285
2.6295 0.9583 5.4179
3.0568 -0.9583 1.8060
```

Largest 8 diffraction maxima, low angle first, 10° ≤ 2θ ≤ 90°:
2θ = 26.50°, I 100; 2θ = 26.73°, I 29; 2θ = 27.46°, I 46; 2θ = 28.09°, I 39; 2θ = 30.44°, I 56; 2θ = 37.50°, I 51; 2θ = 38.70°, I 31; 2θ = 41.78°, I 59



Starting from the GGA-PBE geometry in Alexandria, the powder diffraction line list of Ce7Ga2Ru2 was calculated for copper Kα.
No peak broadening, texture or thermal motion is included.

Structure:
```
Ce7Ga2Ru2
1.0
3.9571 -5.3919 0.0000
3.9571 5.3919 0.0000
0.0000 0.0000 6.6203
Ce Ga Ru
7 2 2
Cartesian
0.0000 0.0000 0.0000
1.9785 2.6959 1.8421
1.9785 2.6959 4.7782
1.9785 -2.6959 1.8421
1.9785 -2.6959 4.7782
3.9571 0.0000 1.9097
3.9571 0.0000 4.7106
1.2391 0.0000 3.3101
6.6750 0.0000 3.3101
3.9571 2.2507 0.0000
3.9571 -2.2507 0.0000
```

Largest 8 diffraction maxima, low angle first, 10° ≤ 2θ ≤ 90°:
2θ = 26.24°, I 37; 2θ = 27.97°, I 90; 2θ = 30.44°, I 65; 2θ = 33.23°, I 79; 2θ = 35.35°, I 28; 2θ = 38.69°, I 52; 2θ = 39.22°, I 100; 2θ = 44.75°, I 26



Starting from the GGA-PBE geometry in Alexandria, the powder diffraction line list of Tb3TmPb4 was calculated for copper Kα.
No peak broadening, texture or thermal motion is included.

Structure:
```
Tb3TmPb4
1.0
11.1326 0.0000 0.0000
0.0000 6.4119 0.0000
0.0000 0.0000 6.4143
Tb Tm Pb
6 2 8
Cartesian
0.0000 0.0039 0.0000
2.7845 1.6129 4.8109
2.7818 4.7989 1.6038
5.5663 6.4080 3.2072
8.3481 1.6129 4.8109
8.3508 4.7989 1.6038
0.0000 3.2042 3.2077
5.5663 3.2077 0.0006
0.0000 6.4101 3.2085
0.0000 3.2095 6.4135
2.7818 1.5963 1.6038
2.7845 4.8156 4.8109
5.5663 0.0018 0.0014
5.5663 3.2024 3.2063
8.3508 1.5963 1.6038
8.3482 4.8156 4.8109
```

Largest 8 diffraction maxima, low angle first, 10° ≤ 2θ ≤ 90°:
2θ = 32.21°, I 100; 2θ = 39.75°, I 23; 2θ = 52.02°, I 21; 2θ = 57.39°, I 20; 2θ = 57.49°, I 4; 2θ = 67.43°, I 29; 2θ = 81.08°, I 6; 2θ = 85.62°, I 13



Starting from the GGA-PBE geometry in Alexandria, the powder diffraction line list of Dy2Be2SiO7 was calculated for copper Kα.
No peak broadening, texture or thermal motion is included.

Structure:
```
Dy2Be2SiO7
1.0
7.3353 0.0000 0.0000
0.0000 7.3353 0.0000
0.0000 0.0000 4.7907
Dy Be Si O
4 4 2 14
Cartesian
1.1647 2.5030 0.0381
2.5030 6.1706 4.7527
4.8323 1.1647 4.7527
6.1706 4.8323 0.0381
1.0029 4.6706 2.5898
2.6647 1.0029 2.2010
4.6706 6.3324 2.2010
6.3324 2.6647 2.5898
0.0000 0.0000 2.3954
3.6676 3.6676 2.3954
0.0000 3.6676 3.2689
0.5995 6.1410 3.3531
1.0369 4.7045 0.9998
1.1943 0.5995 1.4376
2.4733 4.2671 3.3531
2.6308 1.0369 3.7910
3.0682 2.4733 1.4376
3.6676 0.0000 1.5219
4.2671 4.8620 1.4376
4.7045 6.2984 3.7910
4.8620 3.0682 3.3531
6.1410 6.7358 1.4376
6.2984 2.6308 0.9998
6.7358 1.1943 3.3531
```

Largest 8 diffraction maxima, low angle first, 10° ≤ 2θ ≤ 90°:
2θ = 18.52°, I 53; 2θ = 25.31°, I 25; 2θ = 27.18°, I 52; 2θ = 30.70°, I 28; 2θ = 33.10°, I 100; 2θ = 46.97°, I 42; 2θ = 55.09°, I 32; 2θ = 56.59°, I 19



Starting from the GGA-PBE geometry in Alexandria, the powder diffraction line list of Ca6Br7Cl5 was calculated for copper Kα.
No peak broadening, texture or thermal motion is included.

Structure:
```
Ca6Br7Cl5
1.0
12.9200 0.0000 0.0000
0.0000 4.8812 4.5963
0.0000 -4.8812 4.5963
Ca Br Cl
6 7 5
Cartesian
0.0000 0.0000 0.0000
2.1342 0.0000 4.5813
4.2287 0.0000 9.1561
6.4600 0.0000 4.7572
8.6913 0.0000 9.1561
10.7857 0.0000 4.5813
0.0000 -1.9494 4.5863
0.0000 1.9494 4.5863
4.2972 -1.9430 4.6498
4.2972 1.9430 4.6498
6.4600 0.0000 1.8588
8.6227 -1.9430 4.6498
8.6227 1.9430 4.6498
2.1221 0.0000 7.3907
2.1421 0.0000 1.7810
6.4600 0.0000 7.4833
10.7779 0.0000 1.7810
10.7979 0.0000 7.3907
```

Largest 8 diffraction maxima, low angle first, 10° ≤ 2θ ≤ 90°:
2θ = 19.31°, I 79; 2θ = 26.64°, I 29; 2θ = 27.62°, I 98; 2θ = 28.40°, I 100; 2θ = 29.11°, I 47; 2θ = 35.94°, I 70; 2θ = 41.95°, I 37; 2θ = 45.81°, I 79



Starting from the GGA-PBE geometry in Alexandria, the powder diffraction line list of Tm2Sc3 was calculated for copper Kα.
No peak broadening, texture or thermal motion is included.

Structure:
```
Tm2Sc3
1.0
5.5790 -2.9470 0.0000
5.5790 2.9470 0.0000
-2.9634 0.0000 8.1250
Tm Sc
4 6
Cartesian
2.8496 1.9407 4.4722
3.8634 1.9407 7.7153
4.3313 -1.9407 0.4097
5.3451 -1.9407 3.6528
0.7787 0.9907 6.9022
4.8382 0.9655 2.0313
2.2604 -0.9907 2.8397
5.9343 0.9907 5.2854
3.3565 -0.9655 6.0938
7.4160 -0.9907 1.2228
```

Largest 8 diffraction maxima, low angle first, 10° ≤ 2θ ≤ 90°:
2θ = 18.82°, I 26; 2θ = 21.89°, I 15; 2θ = 30.28°, I 24; 2θ = 33.76°, I 24; 2θ = 34.77°, I 100; 2θ = 45.97°, I 15; 2θ = 61.03°, I 19; 2θ = 65.07°, I 14